This entry pairs a crystal structure of NaInAg2 with its theoretical X-ray diffraction stick pattern. Radiation: Cu Kα (weighted mean of Kα1 and Kα2). Structure: DFT lattice parameters and positions (PBE).
No peak broadening, texture or thermal motion is included.

Structure:
```
NaInAg2
1.0
2.110 1.218 6.791
-2.110 1.218 6.791
0.000 -2.436 6.791
Na In Ag
1 1 2
Cartesian
0.000 0.000 0.000 Na
0.000 0.000 16.880 In
0.000 0.000 8.644 Ag
0.000 0.000 11.606 Ag
```

Main lines, in order of rising 2θ (15 to 90 degrees two-theta):
| 2θ (°) | I/Imax |
| --- | --- |
| 24.75 | 78.8 |
| 25.90 | 57.3 |
| 30.10 | 36.0 |
| 32.92 | 100.0 |
| 39.59 | 91.1 |
| 42.87 | 96.7 |
| 43.30 | 46.0 |
| 71.30 | 26.0 |


This entry pairs a crystal structure of Na2In7Ag with its theoretical X-ray diffraction stick pattern. Radiation: Cu Kα (weighted mean of Kα1 and Kα2). Structure: DFT lattice parameters and positions (PBE).
No peak broadening, texture or thermal motion is included.

Structure:
```
Na2In7Ag
1.0
0.000 5.564 5.564
5.564 0.000 5.564
5.564 5.564 0.000
Na In Ag
2 7 1
Cartesian
2.782 2.782 2.782 Na
8.346 8.346 8.346 Na
0.000 0.000 0.000 In
5.564 5.564 2.857 In
5.564 2.857 5.564 In
8.271 5.564 5.564 In
2.857 5.564 5.564 In
5.564 8.271 5.564 In
5.564 5.564 8.271 In
5.564 5.564 5.564 Ag
```

Main lines, in order of rising 2θ (15 to 90 degrees two-theta):
| 2θ (°) | I/Imax |
| --- | --- |
| 15.93 | 99.4 |
| 27.77 | 55.2 |
| 32.18 | 100.0 |
| 36.10 | 51.9 |
| 46.14 | 71.1 |
| 49.12 | 26.3 |
| 57.37 | 24.0 |
| 76.58 | 29.5 |


This entry pairs a crystal structure of Na3In4Ag8 with its theoretical X-ray diffraction stick pattern. Radiation: Cu Kα (weighted mean of Kα1 and Kα2). Structure: DFT lattice parameters and positions (PBE).
No peak broadening, texture or thermal motion is included.

Structure:
```
Na3In4Ag8
1.0
0.000 6.876 6.876
6.876 0.000 6.876
6.876 6.876 0.000
Na In Ag
6 8 16
Cartesian
6.876 6.876 3.140 Na
6.876 3.140 6.876 Na
10.611 6.876 6.876 Na
3.140 6.876 6.876 Na
6.876 10.611 6.876 Na
6.876 6.876 10.611 Na
0.000 0.000 0.000 In
3.438 3.438 0.000 In
3.438 0.000 3.438 In
6.876 3.438 3.438 In
0.000 3.438 3.438 In
3.438 6.876 3.438 In
3.438 3.438 6.876 In
6.876 6.876 6.876 In
8.535 5.217 5.217 Ag
2.335 2.335 2.335 Ag
4.541 4.541 2.335 Ag
4.541 2.335 4.541 Ag
5.217 5.217 5.217 Ag
8.535 8.535 5.217 Ag
8.535 5.217 8.535 Ag
2.335 4.541 4.541 Ag
11.417 9.211 9.211 Ag
5.217 8.535 5.217 Ag
5.217 5.217 8.535 Ag
8.535 8.535 8.535 Ag
9.211 11.417 9.211 Ag
9.211 9.211 11.417 Ag
11.417 11.417 11.417 Ag
5.217 8.535 8.535 Ag
```

Main lines, in order of rising 2θ (15 to 90 degrees two-theta):
| 2θ (°) | I/Imax |
| --- | --- |
| 22.40 | 23.2 |
| 33.87 | 26.3 |
| 36.98 | 100.0 |
| 38.74 | 25.3 |
| 43.14 | 18.7 |
| 43.66 | 31.0 |
| 66.63 | 23.8 |
| 78.73 | 11.4 |


This entry pairs a crystal structure of NaIn2Ag2 with its theoretical X-ray diffraction stick pattern. Radiation: Cu Kα (weighted mean of Kα1 and Kα2). Structure: DFT lattice parameters and positions (PBE).
No peak broadening, texture or thermal motion is included.

Structure:
```
NaIn2Ag2
1.0
5.040 0.000 0.000
-2.499 4.465 0.000
-0.028 -1.814 5.086
Na In Ag
1 2 2
Cartesian
0.000 0.000 0.000 Na
-0.006 1.137 3.462 In
2.519 1.514 1.624 In
0.004 3.008 1.209 Ag
2.509 -0.357 3.877 Ag
```

Main lines, in order of rising 2θ (15 to 90 degrees two-theta):
| 2θ (°) | I/Imax |
| --- | --- |
| 20.54 | 58.7 |
| 31.84 | 32.5 |
| 35.29 | 32.1 |
| 35.62 | 100.0 |
| 35.79 | 39.8 |
| 37.74 | 36.2 |
| 37.90 | 35.9 |
| 45.57 | 37.1 |


This entry pairs a crystal structure of NaTlIn2Ag with its theoretical X-ray diffraction stick pattern. Radiation: Cu Kα (weighted mean of Kα1 and Kα2). Structure: DFT lattice parameters and positions (PBE).
No peak broadening, texture or thermal motion is included.

Structure:
```
NaTlIn2Ag
1.0
2.416 -8.391 0.000
2.416 8.391 0.000
0.000 0.000 6.400
Na Tl In Ag
2 2 4 2
Cartesian
2.416 6.839 4.800 Na
2.416 -6.839 1.600 Na
2.416 0.000 0.000 Tl
2.416 0.000 3.200 Tl
2.416 3.190 0.013 In
2.416 3.190 3.187 In
2.416 -3.190 3.213 In
2.416 -3.190 6.387 In
2.416 5.858 1.600 Ag
2.416 -5.858 4.800 Ag
```

Main lines, in order of rising 2θ (15 to 90 degrees two-theta):
| 2θ (°) | I/Imax |
| --- | --- |
| 19.11 | 58.8 |
| 27.88 | 26.5 |
| 32.00 | 37.3 |
| 32.48 | 80.3 |
| 34.02 | 100.0 |
| 35.27 | 33.8 |
| 37.22 | 46.2 |
| 43.32 | 59.8 |


This entry pairs a crystal structure of Na2ZnIn6Ag with its theoretical X-ray diffraction stick pattern. Radiation: Cu Kα (weighted mean of Kα1 and Kα2). Structure: DFT lattice parameters and positions (PBE).
No peak broadening, texture or thermal motion is included.

Structure:
```
Na2ZnIn6Ag
1.0
3.659 2.113 12.160
-3.659 2.113 12.160
0.000 -4.225 12.160
Na Zn In Ag
4 2 12 2
Cartesian
0.000 0.000 3.911 Na
0.000 0.000 10.335 Na
0.000 0.000 26.145 Na
0.000 0.000 32.568 Na
0.000 0.000 0.000 Zn
0.000 0.000 18.240 Zn
-2.147 -1.240 16.991 In
0.000 -1.823 13.371 In
-1.579 0.912 13.371 In
0.000 -2.479 19.489 In
-2.147 1.240 19.489 In
-1.579 -0.912 23.109 In
1.579 0.912 13.371 In
2.147 -1.240 16.991 In
0.000 2.479 16.991 In
1.579 -0.912 23.109 In
0.000 1.823 23.109 In
2.147 1.240 19.489 In
0.000 0.000 15.561 Ag
0.000 0.000 20.919 Ag
```

Main lines, in order of rising 2θ (15 to 90 degrees two-theta):
| 2θ (°) | I/Imax |
| --- | --- |
| 18.54 | 76.2 |
| 30.76 | 54.8 |
| 33.08 | 100.0 |
| 37.88 | 59.5 |
| 38.50 | 22.5 |
| 39.33 | 23.1 |
| 48.60 | 22.7 |
| 49.84 | 36.2 |


This entry pairs a crystal structure of Nd4In16Ag3 with its theoretical X-ray diffraction stick pattern. Radiation: Cu Kα (weighted mean of Kα1 and Kα2). Structure: DFT lattice parameters and positions (PBE).
No peak broadening, texture or thermal motion is included.

Structure:
```
Nd4In16Ag3
1.0
6.958 0.000 0.000
0.000 6.958 0.000
0.000 0.000 12.229
Nd In Ag
4 16 3
Cartesian
0.000 3.479 2.310 Nd
0.000 3.479 9.919 Nd
3.479 0.000 2.310 Nd
3.479 0.000 9.919 Nd
0.000 0.000 2.412 In
0.000 0.000 9.817 In
1.511 1.511 0.000 In
1.511 5.447 0.000 In
1.686 1.686 4.578 In
1.686 1.686 7.651 In
1.686 5.272 4.578 In
1.686 5.272 7.651 In
3.479 3.479 2.786 In
3.479 3.479 9.443 In
5.272 1.686 4.578 In
5.272 1.686 7.651 In
5.272 5.272 4.578 In
5.272 5.272 7.651 In
5.447 1.511 0.000 In
5.447 5.447 0.000 In
0.000 3.479 6.115 Ag
3.479 0.000 6.115 Ag
3.479 3.479 0.000 Ag
```

Main lines, in order of rising 2θ (15 to 90 degrees two-theta):
| 2θ (°) | I/Imax |
| --- | --- |
| 29.54 | 29.8 |
| 33.87 | 100.0 |
| 36.53 | 72.3 |
| 36.75 | 18.1 |
| 39.23 | 20.1 |
| 52.61 | 23.2 |
| 52.78 | 23.0 |
| 64.06 | 26.0 |


This entry pairs a crystal structure of NdIn5Ag with its theoretical X-ray diffraction stick pattern. Radiation: Cu Kα (weighted mean of Kα1 and Kα2). Structure: DFT lattice parameters and positions (PBE).
No peak broadening, texture or thermal motion is included.

Structure:
```
NdIn5Ag
1.0
4.856 0.000 0.000
0.000 4.856 0.000
0.000 0.000 7.665
Nd In Ag
1 5 1
Cartesian
0.000 0.000 0.000 Nd
0.000 2.428 2.244 In
0.000 2.428 5.421 In
2.428 0.000 2.244 In
2.428 0.000 5.421 In
2.428 2.428 0.000 In
0.000 0.000 3.833 Ag
```

Main lines, in order of rising 2θ (15 to 90 degrees two-theta):
| 2θ (°) | I/Imax |
| --- | --- |
| 28.48 | 19.5 |
| 35.09 | 100.0 |
| 37.02 | 46.2 |
| 51.95 | 11.5 |
| 53.36 | 15.7 |
| 61.64 | 14.4 |
| 65.48 | 33.8 |
| 89.32 | 8.8 |


This entry pairs a crystal structure of NdIn6Ag12 with its theoretical X-ray diffraction stick pattern. Radiation: Cu Kα (weighted mean of Kα1 and Kα2). Structure: DFT lattice parameters and positions (PBE).
No peak broadening, texture or thermal motion is included.

Structure:
```
NdIn6Ag12
1.0
6.198 3.579 3.150
-6.198 3.579 3.150
0.000 -7.157 3.150
Nd In Ag
1 6 12
Cartesian
0.000 0.000 0.000 Nd
0.000 -2.932 4.053 In
-2.539 1.466 4.053 In
-2.539 -1.466 5.396 In
2.539 1.466 4.053 In
2.539 -1.466 5.396 In
0.000 2.932 5.396 In
-2.411 -4.177 4.724 Ag
-4.823 0.000 4.724 Ag
-1.493 -0.862 2.629 Ag
1.493 -0.862 2.629 Ag
0.000 1.724 2.629 Ag
2.411 -4.177 4.724 Ag
-2.411 4.177 4.724 Ag
0.000 -1.724 6.819 Ag
-1.493 0.862 6.819 Ag
1.493 0.862 6.819 Ag
4.823 0.000 4.724 Ag
2.411 4.177 4.724 Ag
```

Main lines, in order of rising 2θ (15 to 90 degrees two-theta):
| 2θ (°) | I/Imax |
| --- | --- |
| 31.50 | 100.0 |
| 31.87 | 66.1 |
| 37.74 | 91.5 |
| 38.06 | 83.8 |
| 41.34 | 73.1 |
| 41.78 | 64.5 |
| 46.45 | 65.7 |
| 73.64 | 33.0 |


This entry pairs a crystal structure of Nd12In5Ag2 with its theoretical X-ray diffraction stick pattern. Radiation: Cu Kα (weighted mean of Kα1 and Kα2). Structure: DFT lattice parameters and positions (PBE).
No peak broadening, texture or thermal motion is included.

Structure:
```
Nd12In5Ag2
1.0
8.870 -3.664 0.000
8.870 3.664 0.000
-1.046 0.000 9.282
Nd In Ag
12 5 2
Cartesian
-0.180 0.000 1.789 Nd
5.397 1.793 5.264 Nd
5.128 1.827 9.180 Nd
11.566 1.827 0.102 Nd
11.297 1.793 4.019 Nd
7.846 0.000 2.879 Nd
8.848 0.000 6.403 Nd
5.397 -1.793 5.264 Nd
5.128 -1.827 9.180 Nd
11.566 -1.827 0.102 Nd
11.297 -1.793 4.019 Nd
16.873 0.000 7.494 Nd
2.831 0.000 6.883 In
4.576 0.000 2.336 In
8.870 0.000 0.000 In
12.118 0.000 6.947 In
13.863 0.000 2.399 In
8.347 2.344 4.641 Ag
8.347 -2.344 4.641 Ag
```

Main lines, in order of rising 2θ (15 to 90 degrees two-theta):
| 2θ (°) | I/Imax |
| --- | --- |
| 28.47 | 24.1 |
| 29.48 | 36.6 |
| 30.42 | 39.2 |
| 31.10 | 100.0 |
| 31.75 | 77.2 |
| 32.53 | 20.1 |
| 33.48 | 31.4 |
| 34.24 | 20.1 |


This entry pairs a crystal structure of Nd4InAg with its theoretical X-ray diffraction stick pattern. Radiation: Cu Kα (weighted mean of Kα1 and Kα2). Structure: DFT lattice parameters and positions (PBE).
No peak broadening, texture or thermal motion is included.

Structure:
```
Nd4InAg
1.0
2.827 -10.692 0.000
2.827 10.692 0.000
0.000 0.000 6.639
Nd In Ag
8 2 2
Cartesian
2.827 9.409 3.320 Nd
2.827 6.321 5.083 Nd
2.827 6.076 1.900 Nd
2.827 2.559 3.568 Nd
2.827 -2.559 0.248 Nd
2.827 -6.076 5.220 Nd
2.827 -6.321 1.763 Nd
2.827 -9.409 0.000 Nd
2.827 3.230 0.173 In
2.827 -3.230 3.493 In
2.827 8.982 0.077 Ag
2.827 -8.982 3.396 Ag
```

Main lines, in order of rising 2θ (15 to 90 degrees two-theta):
| 2θ (°) | I/Imax |
| --- | --- |
| 26.13 | 19.8 |
| 28.15 | 39.5 |
| 31.68 | 100.0 |
| 33.34 | 82.3 |
| 33.74 | 71.1 |
| 37.82 | 20.6 |
| 42.86 | 25.2 |
| 45.43 | 26.2 |


This entry pairs a crystal structure of Nd6InAg with its theoretical X-ray diffraction stick pattern. Radiation: Cu Kα (weighted mean of Kα1 and Kα2). Structure: DFT lattice parameters and positions (PBE).
No peak broadening, texture or thermal motion is included.

Structure:
```
Nd6InAg
1.0
-2.624 2.624 9.206
2.624 -2.624 9.206
2.624 2.624 -9.206
Nd In Ag
6 1 1
Cartesian
2.624 0.000 2.025 Nd
0.000 0.000 4.586 Nd
2.624 0.000 7.181 Nd
0.000 2.624 2.025 Nd
0.000 0.000 13.826 Nd
0.000 2.624 7.181 Nd
0.000 0.000 0.000 In
0.000 0.000 9.206 Ag
```

Main lines, in order of rising 2θ (15 to 90 degrees two-theta):
| 2θ (°) | I/Imax |
| --- | --- |
| 30.95 | 100.0 |
| 34.17 | 41.4 |
| 39.14 | 10.5 |
| 49.10 | 14.8 |
| 52.92 | 17.3 |
| 59.18 | 31.2 |
| 64.51 | 9.5 |
| 82.13 | 6.6 |